(1)
Simulated X-ray powder pattern of CeHo2Se3 for Cu Kα X-rays, from a DFT-relaxed cell (GGA-PBE, Alexandria).
Peak positions follow from Bragg's law for the DFT cell and can differ from measured ones.

Structure:
Cell lengths 4.0686, 5.8160, 12.3999 Å; angles 90.00, 90.00, 90.00 degrees
Fractional coordinates of all 12 atoms:
Ce 0.0000 0.0000 0.0000
Ce 0.5000 0.5000 0.5000
Ho 0.0000 0.0000 0.3364
Ho 0.0000 0.0000 0.6636
Ho 0.5000 0.5000 0.1636
Ho 0.5000 0.5000 0.8364
Se 0.0000 0.5000 0.0000
Se 0.0000 0.5000 0.3257
Se 0.0000 0.5000 0.6743
Se 0.5000 0.0000 0.1743
Se 0.5000 0.0000 0.5000
Se 0.5000 0.0000 0.8257

Largest 10 diffraction maxima, sorted by position, 10° ≤ 2θ ≤ 80°:
2θ (°)  I_rel
26.46  10.0
26.74  9.7
30.81  100.0
43.81  12.4
44.11  49.4
44.54  12.1
54.47  13.0
55.10  12.9
72.76  11.2
72.91  10.9

=====

(2)
Simulated X-ray powder pattern of Na3Y3IrO8 for Cu Kα X-rays, from a DFT-relaxed cell (GGA-PBE, Alexandria).
Peak positions follow from Bragg's law for the DFT cell and can differ from measured ones.

Structure:
Cell lengths 6.7748, 6.7748, 6.7748 Å; angles 59.32, 59.32, 59.32 degrees
Fractional coordinates of all 15 atoms:
Na 0.0000 0.5000 0.5000
Na 0.5000 0.0000 0.5000
Na 0.5000 0.5000 0.0000
Y 0.0000 0.0000 0.5000
Y 0.0000 0.5000 0.0000
Y 0.5000 0.0000 0.0000
Ir 0.5000 0.5000 0.5000
O 0.2367 0.2367 0.2367
O 0.2620 0.7197 0.7197
O 0.2803 0.2803 0.7380
O 0.2803 0.7380 0.2803
O 0.7197 0.2620 0.7197
O 0.7197 0.7197 0.2620
O 0.7380 0.2803 0.2803
O 0.7633 0.7633 0.7633

Largest 10 diffraction maxima, sorted by position, 10° ≤ 2θ ≤ 80°:
2θ (°)  I_rel
15.94  100.0
16.16  27.3
31.27  43.9
32.20  17.1
32.66  45.7
37.76  80.0
49.49  18.3
54.16  24.3
54.77  25.6
57.43  21.6

=====

(3)
Simulated X-ray powder pattern of PaGaB2O8 for Cu Kα X-rays, from a DFT-relaxed cell (GGA-PBE, Alexandria).
Peak positions follow from Bragg's law for the DFT cell and can differ from measured ones.

Structure:
Cell lengths 4.8031, 4.8031, 6.5243 Å; angles 90.00, 90.00, 120.00 degrees
Fractional coordinates of all 12 atoms:
Pa 0.0000 0.0000 0.0000
Ga 0.0000 0.0000 0.5000
B 0.3333 0.6667 0.2210
B 0.6667 0.3333 0.7790
O 0.1673 0.3346 0.2879
O 0.1673 0.8327 0.2879
O 0.3333 0.6667 0.9955
O 0.3346 0.1673 0.7121
O 0.6654 0.8327 0.2879
O 0.6667 0.3333 0.0045
O 0.8327 0.1673 0.7121
O 0.8327 0.6654 0.7121

Largest 10 diffraction maxima, sorted by position, 10° ≤ 2θ ≤ 80°:
2θ (°)  I_rel
13.57  30.0
21.36  100.0
25.39  28.7
34.95  53.3
37.45  28.9
40.01  18.5
46.98  36.2
52.16  25.0
58.73  13.8
65.96  17.9

=====

> What is the formula in the second record?

Na3Y3IrO8